Computed PXRD pattern
Compound: Y2SiCO7
Radiation: Cu Kα X-rays
Structure: a cell relaxed with PBE

Atomic structure:
```
Y2SiCO7
1.0
6.5323 0.0000 0.0000
-0.3098 6.6444 0.0000
-2.9948 -0.7894 5.9718
Y Si C O
4 2 2 14
direct
0.2432 0.3328 0.3111 Y
0.2492 0.0868 0.7986 Y
0.7508 0.9132 0.2014 Y
0.7568 0.6672 0.6889 Y
0.2365 0.8424 0.2582 Si
0.7635 0.1576 0.7418 Si
0.3057 0.5899 0.7659 C
0.6943 0.4101 0.2341 C
0.0208 0.2486 0.9375 O
0.1572 0.7164 0.7496 O
0.1678 0.0167 0.4103 O
0.2348 0.4039 0.6649 O
0.3726 0.6683 0.4067 O
0.3863 0.9657 0.1580 O
0.4770 0.3531 0.1230 O
0.5230 0.6469 0.8770 O
0.6137 0.0343 0.8420 O
0.6274 0.3317 0.5933 O
0.7652 0.5960 0.3351 O
0.8322 0.9833 0.5897 O
0.8428 0.2836 0.2504 O
0.9792 0.7514 0.0625 O
```

Top 10 peaks for 10° ≤ 2θ ≤ 80°, most intense first:
d/Å  Rel. int.
2.909  100
2.986  73
3.059  71
2.736  65
2.815  63
4.596  57
2.876  48
1.754  44
3.340  38
4.225  33

Computed PXRD pattern
Compound: LiCuS
Radiation: Cu Kα X-rays
Structure: a cell relaxed with PBE

Atomic structure:
```
LiCuS
1.0
3.8743 0.0000 0.0000
-1.9371 3.3552 0.0000
0.0000 0.0000 6.8530
Li Cu S
2 2 2
direct
0.0000 0.0000 0.0000 Li
0.0000 0.0000 0.5000 Li
0.3333 0.6667 0.2500 Cu
0.6667 0.3333 0.7500 Cu
0.3333 0.6667 0.7500 S
0.6667 0.3333 0.2500 S
```

Top 10 peaks for 10° ≤ 2θ ≤ 80°, most intense first:
d/Å  Rel. int.
3.427  100
2.397  73
1.686  68
1.937  67
3.355  64
3.013  42
1.283  32
1.507  15
1.713  15
1.888  12